The following is a calculated PXRD pattern of TbCuGe. It was derived from the PBE geometry in the Materials Project, using Cu Kα (λ = 1.5418 Å).

Most intense lines, 15 to 90 degrees two-theta, low angle first:
- 24.08 deg, I 17.5
- 34.51 deg, I 100.0
- 42.35 deg, I 50.4
- 49.89 deg, I 8.5
- 55.73 deg, I 25.0
- 67.46 deg, I 20.2
- 72.42 deg, I 22.6
- 77.47 deg, I 8.2

Cell and atoms:
```
TbCuGe
1.0
4.2680 0.0000 0.0000
-2.1340 3.6962 0.0000
0.0000 0.0000 7.3119
Tb Cu Ge
2 2 2
Direct
0.0000 0.0000 0.0000 Tb
0.0000 0.0000 0.5000 Tb
0.3333 0.6667 0.2775 Cu
0.6667 0.3333 0.7775 Cu
0.3333 0.6667 0.7268 Ge
0.6667 0.3333 0.2268 Ge
```

The following is a calculated PXRD pattern of Tm4CuGe8. It was derived from the PBE geometry in the Materials Project, using Cu Kα (λ = 1.5418 Å).

Most intense lines, 15 to 90 degrees two-theta, low angle first:
- 25.06 deg, I 17.1
- 32.98 deg, I 14.4
- 35.41 deg, I 21.0
- 35.86 deg, I 100.0
- 40.31 deg, I 15.2
- 44.94 deg, I 18.6
- 45.98 deg, I 17.1
- 66.25 deg, I 11.7

Cell and atoms:
```
Tm4CuGe8
1.0
3.9479 0.0000 0.0000
0.0000 4.0342 0.0000
0.0000 0.0000 16.2940
Tm Cu Ge
4 1 8
Direct
0.0000 0.0000 0.0000 Tm
0.0000 0.5000 0.4898 Tm
0.5000 0.0000 0.7897 Tm
0.5000 0.5000 0.2844 Tm
0.0000 0.5000 0.7143 Cu
0.0000 0.0000 0.3360 Ge
0.0000 0.0000 0.6279 Ge
0.0000 0.5000 0.1385 Ge
0.0000 0.5000 0.8571 Ge
0.5000 0.0000 0.1460 Ge
0.5000 0.0000 0.4380 Ge
0.5000 0.5000 0.6274 Ge
0.5000 0.5000 0.9552 Ge
```

The following is a calculated PXRD pattern of TmCu2Ge2. It was derived from the PBE geometry in the Materials Project, using Cu Kα (λ = 1.5418 Å).

Most intense lines, 15 to 90 degrees two-theta, low angle first:
- 31.52 deg, I 22.5
- 34.26 deg, I 75.6
- 36.09 deg, I 100.0
- 45.18 deg, I 53.8
- 49.51 deg, I 34.6
- 57.90 deg, I 33.4
- 69.26 deg, I 25.1
- 77.42 deg, I 20.4

Cell and atoms:
```
TmCu2Ge2
1.0
-2.0068 2.0068 5.1799
2.0068 -2.0068 5.1799
2.0068 2.0068 -5.1799
Tm Cu Ge
1 2 2
Direct
0.0000 0.0000 0.0000 Tm
0.2500 0.7500 0.5000 Cu
0.7500 0.2500 0.5000 Cu
0.3821 0.3821 0.0000 Ge
0.6179 0.6179 0.0000 Ge
```

The following is a calculated PXRD pattern of TmCu2Ge2. It was derived from the PBE geometry in the Materials Project, using Cu Kα (λ = 1.5418 Å).

Most intense lines, 15 to 90 degrees two-theta, low angle first:
- 34.42 deg, I 55.2
- 35.57 deg, I 100.0
- 43.91 deg, I 47.7
- 50.36 deg, I 28.4
- 56.95 deg, I 25.5
- 63.88 deg, I 26.2
- 69.00 deg, I 19.9
- 75.27 deg, I 24.1

Cell and atoms:
```
TmCu2Ge2
1.0
-2.0618 2.0618 5.0426
2.0618 -2.0618 5.0426
2.0618 2.0618 -5.0426
Tm Cu Ge
1 2 2
Direct
0.0000 0.0000 0.0000 Tm
0.3845 0.3845 0.0000 Cu
0.6155 0.6155 0.0000 Cu
0.2500 0.7500 0.5000 Ge
0.7500 0.2500 0.5000 Ge
```

The following is a calculated PXRD pattern of U3Cu4Ge4. It was derived from the PBE geometry in the Materials Project, using Cu Kα (λ = 1.5418 Å).

Most intense lines, 15 to 90 degrees two-theta, low angle first:
- 21.44 deg, I 20.4
- 35.05 deg, I 90.6
- 35.36 deg, I 34.3
- 36.01 deg, I 100.0
- 41.57 deg, I 35.2
- 46.26 deg, I 22.3
- 55.69 deg, I 18.9
- 63.92 deg, I 17.4

Cell and atoms:
```
U3Cu4Ge4
1.0
-2.1726 3.2558 6.8911
2.1726 -3.2558 6.8911
2.1726 3.2558 -6.8911
U Cu Ge
3 4 4
Direct
0.0000 0.0000 0.0000 U
0.3760 0.8760 0.5000 U
0.6240 0.1240 0.5000 U
0.0200 0.3295 0.6905 Cu
0.3610 0.6705 0.6905 Cu
0.6390 0.3295 0.3095 Cu
0.9800 0.6705 0.3095 Cu
0.2158 0.2158 0.0000 Ge
0.3027 0.5000 0.8027 Ge
0.6973 0.5000 0.1973 Ge
0.7842 0.7842 0.0000 Ge
```

The following is a calculated PXRD pattern of UCuGe. It was derived from the PBE geometry in the Materials Project, using Cu Kα (λ = 1.5418 Å).

Most intense lines, 15 to 90 degrees two-theta, low angle first:
- 24.83 deg, I 28.5
- 33.93 deg, I 100.0
- 43.73 deg, I 38.3
- 46.47 deg, I 10.7
- 56.48 deg, I 23.7
- 65.71 deg, I 22.9
- 74.04 deg, I 21.8
- 78.05 deg, I 9.5

Cell and atoms:
```
UCuGe
1.0
4.1400 0.0000 0.0000
-2.0700 3.5853 0.0000
0.0000 0.0000 3.9080
U Cu Ge
1 1 1
Direct
0.0000 0.0000 0.0000 U
0.3333 0.6667 0.5000 Cu
0.6667 0.3333 0.5000 Ge
```

The following is a calculated PXRD pattern of YCuGe. It was derived from the PBE geometry in the Materials Project, using Cu Kα (λ = 1.5418 Å).

Most intense lines, 15 to 90 degrees two-theta, low angle first:
- 34.32 deg, I 100.0
- 42.78 deg, I 55.6
- 48.82 deg, I 12.5
- 55.95 deg, I 23.5
- 66.90 deg, I 27.8
- 72.91 deg, I 20.6
- 78.35 deg, I 8.7
- 81.79 deg, I 7.5

Cell and atoms:
```
YCuGe
1.0
4.2276 0.0000 0.0000
-2.1138 3.6612 0.0000
0.0000 0.0000 3.7308
Y Cu Ge
1 1 1
Direct
0.0000 0.0000 0.0000 Y
0.3333 0.6667 0.5000 Cu
0.6667 0.3333 0.5000 Ge
```

The following is a calculated PXRD pattern of YCuGe. It was derived from the PBE geometry in the Materials Project, using Cu Kα (λ = 1.5418 Å).

Most intense lines, 15 to 90 degrees two-theta, low angle first:
- 23.84 deg, I 5.8
- 33.96 deg, I 100.0
- 41.87 deg, I 59.2
- 48.81 deg, I 14.0
- 54.97 deg, I 25.7
- 66.23 deg, I 23.8
- 71.42 deg, I 22.0
- 76.47 deg, I 9.3

Cell and atoms:
```
YCuGe
1.0
4.3149 0.0000 0.0000
-2.1574 3.7368 0.0000
0.0000 0.0000 7.4612
Y Cu Ge
2 2 2
Direct
0.0000 0.0000 0.2380 Y
0.0000 0.0000 0.7620 Y
0.3333 0.6667 0.0054 Cu
0.6667 0.3333 0.9946 Cu
0.3333 0.6667 0.4729 Ge
0.6667 0.3333 0.5271 Ge
```